Diffraction record for Na4Ni7O16. The powder diffractogram is theoretical, not measured: it uses a DFT-relaxed cell (PBE+U, Alexandria) and Cu Kα.
Kinematic intensities with the Lorentz-polarization factor, no thermal factor.

Structure:
```
data_Na4Ni7O16
_cell_length_a 6.9841
_cell_length_b 7.0348
_cell_length_c 7.5138
_cell_angle_alpha 70.24
_cell_angle_beta 78.95
_cell_angle_gamma 64.70
_space_group_name_H-M_alt 'P 1'
_space_group_IT_number 1
_space_group_name_Hall 'P 1'
loop_
_atom_site_label
_atom_site_type_symbol
_atom_site_fract_x
_atom_site_fract_y
_atom_site_fract_z
Na1 Na 0.0000 0.0000 0.0000
Na2 Na 0.1047 0.9085 0.4648
Na3 Na 0.3426 0.1832 0.4440
Na4 Na 0.5459 0.4476 0.5066
Ni1 Ni 0.0795 0.4182 0.7028
Ni2 Ni 0.2081 0.2987 0.0713
Ni3 Ni 0.4554 0.0387 0.8309
Ni4 Ni 0.5773 0.9162 0.2036
Ni5 Ni 0.7041 0.7890 0.5815
Ni6 Ni 0.8256 0.6620 0.9562
Ni7 Ni 0.9556 0.5490 0.3251
O1 O 0.0613 0.2662 0.3047
O2 O 0.0726 0.6002 0.0719
O3 O 0.1782 0.5198 0.4528
O4 O 0.1995 0.1167 0.7317
O5 O 0.3252 0.9979 0.0850
O6 O 0.3306 0.3409 0.8165
O7 O 0.4696 0.2183 0.1578
O8 O 0.4759 0.8331 0.4545
O9 O 0.5804 0.7392 0.8312
O10 O 0.6123 0.0691 0.6038
O11 O 0.7034 0.9565 0.9558
O12 O 0.7078 0.6145 0.2072
O13 O 0.8227 0.8490 0.3263
O14 O 0.8365 0.4903 0.5756
O15 O 0.9480 0.7135 0.7087
O16 O 0.9580 0.3669 0.9534
```

Principal peaks in the range 10° ≤ 2θ ≤ 90°, low angle first:
| 2θ/deg | I_rel | hkl |
| --- | --- | --- |
| 15.8 | 100 | 1 1 0 |
| 31.9 | 9 | 2 2 0 |
| 41.7 | 14 | 1 0 -3 |
| 42.6 | 14 | 0 3 1 |
| 43.4 | 15 | 3 1 2 |
| 65.8 | 9 | 3 -2 1 |